1.
Starting from DFT lattice parameters and positions (GGA-PBE), the XRD peak list of Ba4AgGeO was simulated for Cu Kα.
Peak positions follow from Bragg's law for the DFT cell and can differ from measured ones.

Main lines, by angle (10° ≤ 2θ ≤ 90°):
| Position (°2θ) | I (rel.) |
| --- | --- |
| 25.43 | 69 |
| 25.79 | 67 |
| 30.02 | 84 |
| 30.84 | 56 |
| 31.14 | 55 |
| 33.56 | 100 |
| 45.60 | 45 |
| 47.78 | 18 |
| 58.15 | 29 |
| 58.69 | 18 |

Atomic structure:
Cell: 9.724 9.724 7.491 Å, 90.00 90.00 133.90°
Fractional positions:
Ba  0.000  0.500  0.000
Ba  0.000  0.500  0.500
Ba  0.060  0.940  0.750
Ba  0.417  0.583  0.750
Ba  0.500  0.000  0.000
Ba  0.500  0.000  0.500
Ba  0.583  0.417  0.250
Ba  0.940  0.060  0.250
Ag  0.384  0.616  0.250
Ag  0.616  0.384  0.750
Ge  0.122  0.878  0.250
Ge  0.878  0.122  0.750
O  0.274  0.726  0.750
O  0.726  0.274  0.250

2.
Starting from DFT lattice parameters and positions (GGA-PBE), the XRD peak list of Ti2CrHPd was simulated for Cu Kα.
Peak positions follow from Bragg's law for the DFT cell and can differ from measured ones.

Main lines, by angle (10° ≤ 2θ ≤ 90°):
| Position (°2θ) | I (rel.) |
| --- | --- |
| 20.72 | 12 |
| 29.46 | 9 |
| 34.06 | 8 |
| 40.20 | 100 |
| 42.15 | 44 |
| 55.07 | 10 |
| 61.14 | 14 |
| 71.70 | 16 |
| 75.73 | 27 |
| 86.83 | 10 |

Atomic structure:
Cell: 4.287 4.287 3.335 Å, 90.00 90.00 90.00°
Fractional positions:
Ti  0.000  0.500  0.000
Ti  0.500  0.000  0.000
Cr  0.000  0.000  0.500
H  0.000  0.000  0.000
Pd  0.500  0.500  0.500

3.
Starting from DFT lattice parameters and positions (GGA-PBE), the XRD peak list of Pm3CBr3 was simulated for Cu Kα.
Peak positions follow from Bragg's law for the DFT cell and can differ from measured ones.

Main lines, by angle (10° ≤ 2θ ≤ 90°):
| Position (°2θ) | I (rel.) |
| --- | --- |
| 10.38 | 15 |
| 29.92 | 12 |
| 31.13 | 100 |
| 32.81 | 17 |
| 34.14 | 11 |
| 35.92 | 10 |
| 43.82 | 19 |
| 45.33 | 19 |
| 46.75 | 13 |
| 57.20 | 11 |

Atomic structure:
Cell: 8.528 3.886 11.524 Å, 90.00 92.72 90.00°
Fractional positions:
Pm  0.089  0.250  0.393
Pm  0.119  0.250  0.834
Pm  0.313  0.750  0.621
Pm  0.687  0.250  0.379
Pm  0.881  0.750  0.166
Pm  0.911  0.750  0.607
C  0.123  0.250  0.621
C  0.877  0.750  0.379
Br  0.138  0.250  0.124
Br  0.376  0.750  0.875
Br  0.380  0.750  0.368
Br  0.620  0.250  0.632
Br  0.624  0.250  0.125
Br  0.862  0.750  0.876

4.
Starting from DFT lattice parameters and positions (GGA-PBE), the XRD peak list of NdSmSiPt was simulated for Cu Kα.
Peak positions follow from Bragg's law for the DFT cell and can differ from measured ones.

Main lines, by angle (10° ≤ 2θ ≤ 90°):
| Position (°2θ) | I (rel.) |
| --- | --- |
| 16.07 | 23 |
| 31.30 | 100 |
| 32.51 | 62 |
| 39.06 | 77 |
| 42.85 | 22 |
| 43.62 | 21 |
| 54.80 | 29 |
| 62.80 | 14 |
| 72.45 | 19 |
| 79.32 | 14 |

Atomic structure:
Cell: 4.221 4.150 11.029 Å, 90.00 90.00 90.00°
Fractional positions:
Nd  0.000  0.000  0.000
Nd  0.000  0.500  0.500
Sm  0.500  0.000  0.280
Sm  0.500  0.500  0.780
Si  0.500  0.000  0.571
Si  0.500  0.500  0.071
Pt  0.000  0.000  0.719
Pt  0.000  0.500  0.219

5.
Starting from DFT lattice parameters and positions (GGA-PBE), the XRD peak list of NaSb4Pd6 was simulated for Cu Kα.
Peak positions follow from Bragg's law for the DFT cell and can differ from measured ones.

Main lines, by angle (10° ≤ 2θ ≤ 90°):
| Position (°2θ) | I (rel.) |
| --- | --- |
| 13.16 | 40 |
| 31.44 | 23 |
| 34.21 | 78 |
| 35.31 | 24 |
| 40.22 | 18 |
| 41.57 | 100 |
| 43.26 | 32 |
| 46.79 | 30 |
| 65.61 | 21 |
| 74.03 | 23 |

Atomic structure:
Cell: 7.766 7.766 4.183 Å, 90.00 90.00 120.00°
Fractional positions:
Na  0.000  0.000  0.000
Sb  0.333  0.667  0.000
Sb  0.370  0.185  0.500
Sb  0.815  0.185  0.500
Sb  0.815  0.630  0.500
Pd  0.204  0.408  0.500
Pd  0.204  0.796  0.500
Pd  0.539  0.079  0.000
Pd  0.539  0.461  0.000
Pd  0.592  0.796  0.500
Pd  0.921  0.461  0.000

6.
Starting from DFT lattice parameters and positions (GGA-PBE), the XRD peak list of Pm5Y3 was simulated for Cu Kα.
Peak positions follow from Bragg's law for the DFT cell and can differ from measured ones.

Main lines, by angle (10° ≤ 2θ ≤ 90°):
| Position (°2θ) | I (rel.) |
| --- | --- |
| 12.97 | 3 |
| 24.96 | 3 |
| 30.22 | 100 |
| 35.03 | 50 |
| 50.38 | 36 |
| 59.88 | 42 |
| 62.84 | 12 |
| 74.02 | 6 |
| 81.98 | 17 |
| 84.59 | 16 |

Atomic structure:
Cell: 3.624 3.624 20.481 Å, 90.00 90.00 90.00°
Fractional positions:
Pm  0.000  0.000  0.000
Pm  0.000  0.000  0.249
Pm  0.000  0.000  0.751
Pm  0.500  0.500  0.375
Pm  0.500  0.500  0.625
Y  0.000  0.000  0.500
Y  0.500  0.500  0.124
Y  0.500  0.500  0.876

7.
Starting from DFT lattice parameters and positions (GGA-PBE), the XRD peak list of CsZnGePSeBr was simulated for Cu Kα.
Peak positions follow from Bragg's law for the DFT cell and can differ from measured ones.

Main lines, by angle (10° ≤ 2θ ≤ 90°):
| Position (°2θ) | I (rel.) |
| --- | --- |
| 20.05 | 32 |
| 25.43 | 53 |
| 27.02 | 23 |
| 27.25 | 24 |
| 28.60 | 100 |
| 34.02 | 23 |
| 35.66 | 19 |
| 46.24 | 19 |
| 47.69 | 26 |
| 50.02 | 24 |

Atomic structure:
Cell: 17.792 3.927 5.285 Å, 90.00 93.45 90.00°
Fractional positions:
Cs  0.000  0.000  0.000
Cs  0.500  0.500  0.000
Zn  0.283  0.000  0.283
Zn  0.783  0.500  0.283
Ge  0.175  0.500  0.741
Ge  0.675  0.000  0.741
P  0.167  0.000  0.480
P  0.667  0.500  0.480
Se  0.293  0.500  0.002
Se  0.793  0.000  0.002
Br  0.416  0.000  0.487
Br  0.916  0.500  0.487

8.
Starting from DFT lattice parameters and positions (GGA-PBE), the XRD peak list of Cs2InBr2Cl2 was simulated for Cu Kα.
Peak positions follow from Bragg's law for the DFT cell and can differ from measured ones.

Main lines, by angle (10° ≤ 2θ ≤ 90°):
| Position (°2θ) | I (rel.) |
| --- | --- |
| 21.79 | 33 |
| 22.97 | 100 |
| 29.26 | 63 |
| 30.21 | 42 |
| 32.71 | 70 |
| 37.48 | 29 |
| 44.44 | 56 |
| 46.94 | 25 |
| 52.88 | 21 |
| 56.26 | 22 |

Atomic structure:
Cell: 5.475 5.475 18.346 Å, 90.00 90.00 90.00°
Fractional positions:
Cs  0.000  0.000  0.139
Cs  0.000  0.000  0.861
Cs  0.500  0.500  0.361
Cs  0.500  0.500  0.639
In  0.000  0.000  0.500
In  0.500  0.500  0.000
Br  0.000  0.000  0.340
Br  0.000  0.000  0.660
Br  0.500  0.500  0.160
Br  0.500  0.500  0.840
Cl  0.000  0.500  0.000
Cl  0.000  0.500  0.500
Cl  0.500  0.000  0.000
Cl  0.500  0.000  0.500